For LiFeSiO4, a structure optimized by DFT (GGA+U) gives the simulated XRD peak list in this record (CuKα).

Crystal structure
Cell: 8.7922 8.7922 8.4997 Å, 90.00 90.00 120.00°
Fractional coordinates of all 42 atoms:
Li 0.0000 0.0000 0.0000
Li 0.0000 0.0000 0.5000
Li 0.3333 0.6667 0.1663
Li 0.3333 0.6667 0.7422
Li 0.6667 0.3333 0.2422
Li 0.6667 0.3333 0.6663
Fe 0.0350 0.6898 0.3301
Fe 0.3102 0.3451 0.3301
Fe 0.3451 0.0350 0.8301
Fe 0.6549 0.9650 0.3301
Fe 0.6898 0.6549 0.8301
Fe 0.9650 0.3102 0.8301
Si 0.0402 0.6838 0.9513
Si 0.3162 0.3563 0.9513
Si 0.3563 0.0402 0.4513
Si 0.6437 0.9598 0.9513
Si 0.6838 0.6437 0.4513
Si 0.9598 0.3162 0.4513
O 0.0847 0.5253 0.4167
O 0.0905 0.2314 0.4404
O 0.1347 0.7200 0.1257
O 0.1409 0.9095 0.4404
O 0.2035 0.7834 0.8233
O 0.2166 0.4201 0.8233
O 0.2314 0.1409 0.9404
O 0.2800 0.4147 0.1257
O 0.4147 0.1347 0.6257
O 0.4201 0.2035 0.3233
O 0.4406 0.9153 0.4167
O 0.4747 0.5594 0.4167
O 0.5253 0.4406 0.9167
O 0.5594 0.0847 0.9167
O 0.5799 0.7965 0.8233
O 0.5853 0.8653 0.1257
O 0.7200 0.5853 0.6257
O 0.7686 0.8591 0.4404
O 0.7834 0.5799 0.3233
O 0.7965 0.2166 0.3233
O 0.8591 0.0905 0.9404
O 0.8653 0.2800 0.6257
O 0.9095 0.7686 0.9404
O 0.9153 0.4747 0.9167

Top 12 peaks for 2θ from 10° to 80°, by intensity:
| h k l | 2theta | I_rel |
| --- | --- | --- |
| 0 0 2 | 20.90 | 100 |
| 1 1 1 | 22.77 | 98 |
| 1 1 0 | 20.20 | 91 |
| 1 1 3 | 37.77 | 64 |
| 1 1 2 | 29.23 | 37 |
| 2 1 0 | 31.08 | 32 |
| 3 0 0 | 35.36 | 32 |
| 3 0 1 | 36.96 | 25 |
| 1 1 5 | 58.19 | 25 |
| 3 0 2 | 41.44 | 22 |
| 2 2 3 | 52.71 | 21 |
| 4 1 3 | 65.08 | 17 |



For LiFeSiO4, a structure optimized by DFT (GGA+U) gives the simulated XRD peak list in this record (CuKα).

Crystal structure
Cell: 5.7324 5.7324 8.0638 Å, 90.00 90.00 90.00°
Fractional coordinates of all 28 atoms:
Li 0.0000 0.2208 0.0000
Li 0.0000 0.7792 0.5000
Li 0.2208 0.0000 0.2500
Li 0.7792 0.0000 0.7500
Fe 0.2255 0.5000 0.2500
Fe 0.5000 0.2255 0.0000
Fe 0.5000 0.7745 0.5000
Fe 0.7745 0.5000 0.7500
Si 0.2564 0.2564 0.6250
Si 0.2564 0.7436 0.8750
Si 0.7436 0.2564 0.3750
Si 0.7436 0.7436 0.1250
O 0.0175 0.2584 0.7395
O 0.0175 0.7416 0.7605
O 0.2584 0.0175 0.5105
O 0.2584 0.9825 0.9895
O 0.2594 0.4949 0.5013
O 0.2594 0.5051 0.9987
O 0.4949 0.2594 0.7487
O 0.4949 0.7406 0.7513
O 0.5051 0.2594 0.2513
O 0.5051 0.7406 0.2487
O 0.7406 0.4949 0.4987
O 0.7406 0.5051 0.0013
O 0.7416 0.0175 0.4895
O 0.7416 0.9825 0.0105
O 0.9825 0.2584 0.2605
O 0.9825 0.7416 0.2395

Top 12 peaks for 2θ from 10° to 80°, by intensity:
| h k l | 2theta | I_rel |
| --- | --- | --- |
| 2 1 1 | 36.79 | 100 |
| 1 1 1 | 24.58 | 74 |
| 2 2 4 | 65.28 | 58 |
| 1 0 0 | 15.46 | 50 |
| 1 0 3 | 36.94 | 49 |
| 1 0 2 | 27.04 | 46 |
| 2 2 0 | 44.71 | 43 |
| 1 1 2 | 31.27 | 34 |
| 4 0 0 | 65.09 | 28 |
| 0 0 4 | 44.97 | 22 |
| 3 1 1 | 51.68 | 19 |
| 2 1 0 | 35.00 | 18 |